Record 1
CsH3O2: simulated powder diffractogram (Cu Kα), based on DFT lattice parameters and positions (PBE).
No peak broadening, texture or thermal motion is included.

a b c (Å): 4.804 6.118 6.577
angles (deg): 75.23 88.77 87.46
Fractional positions:
Cs 0.238 0.246 0.272
Cs 0.762 0.754 0.728
H 0.036 0.808 0.170
H 0.235 0.884 0.967
H 0.403 0.162 0.777
H 0.597 0.838 0.223
H 0.765 0.116 0.033
H 0.964 0.192 0.830
O 0.217 0.760 0.104
O 0.243 0.082 0.747
O 0.757 0.918 0.253
O 0.783 0.240 0.896

Peak list (12 most intense, 10° ≤ 2θ ≤ 80°, low angle first)
two_theta	intensity
17.70	70
23.00	42
23.10	49
23.37	100
24.36	46
28.06	42
30.24	35
33.49	28
34.52	22
34.65	27
36.15	25
37.48	25


Record 2
PrCdPtO4: simulated powder diffractogram (Cu Kα), based on DFT lattice parameters and positions (PBE).
No peak broadening, texture or thermal motion is included.

a b c (Å): 6.557 6.557 6.557
angles (deg): 113.16 112.48 102.97
Fractional positions:
Pr 0.000 0.000 0.000
Pr 0.500 0.000 0.500
Cd 0.331 0.581 0.750
Cd 0.669 0.419 0.250
Pt 0.000 0.000 0.500
Pt 0.000 0.500 0.000
O 0.140 0.710 0.430
O 0.220 0.290 0.930
O 0.252 0.215 0.463
O 0.252 0.789 0.037
O 0.748 0.211 0.963
O 0.748 0.785 0.537
O 0.780 0.710 0.070
O 0.860 0.290 0.570

Peak list (12 most intense, 10° ≤ 2θ ≤ 80°, low angle first)
two_theta	intensity
16.31	93
29.56	99
29.70	100
32.95	34
33.12	77
34.98	44
35.20	76
46.40	41
46.56	35
50.56	30
57.71	50
61.35	33


Record 3
ZnCu6Pd2: simulated powder diffractogram (Cu Kα), based on DFT lattice parameters and positions (PBE).
No peak broadening, texture or thermal motion is included.

a b c (Å): 4.540 4.540 6.575
angles (deg): 101.26 101.26 66.25
Fractional positions:
Zn 0.000 0.000 0.000
Cu 0.218 0.704 0.308
Cu 0.246 0.246 0.496
Cu 0.296 0.782 0.692
Cu 0.704 0.218 0.308
Cu 0.754 0.754 0.504
Cu 0.782 0.296 0.692
Pd 0.321 0.321 0.919
Pd 0.679 0.679 0.081

Peak list (12 most intense, 10° ≤ 2θ ≤ 80°, low angle first)
two_theta	intensity
37.79	24
38.94	24
40.34	40
40.88	29
41.42	63
43.80	74
43.95	69
44.41	49
46.31	100
47.93	30
70.24	22
75.58	26